[1]
Computed powder diffraction line list of Hf2Si2NiPt for copper Kα, from DFT lattice parameters and positions (GGA-PBE).
Lines closer than 0.1° are merged.

Largest 10 diffraction maxima, by angle, 2θ = 5–70°:
| h k l | 2θ/deg | I (rel.) |
| --- | --- | --- |
| 1 1 1 | 26.0 | 100 |
| 1 1 -3 | 30.1 | 5 |
| 3 1 -1 | 43.0 | 75 |
| 0 2 0 | 43.1 | 38 |
| 4 0 0 | 50.9 | 16 |
| 2 2 -2 | 51.0 | 32 |
| 4 0 4 | 62.3 | 6 |
| 2 2 -6 | 62.6 | 12 |
| 4 2 0 | 68.8 | 13 |
| 1 3 1 | 69.0 | 6 |

```
data_Hf2Si2NiPt
_chemical_formula_sum 'Hf8 Si8 Ni4 Pt4'
_cell_length_a 7.288
_cell_length_b 4.195
_cell_length_c 13.929
_cell_angle_alpha 90.00
_cell_angle_beta 99.80
_cell_angle_gamma 90.00
_space_group_name_H-M_alt 'P 1 m 1'
_space_group_IT_number 6
_space_group_name_Hall 'P -2y'
loop_
_atom_site_label
_atom_site_type_symbol
_atom_site_fract_x
_atom_site_fract_y
_atom_site_fract_z
_atom_site_occupancy
Hf1 Hf 0.000 0.000 0.000 1
Hf2 Hf 0.010 0.500 0.493 1
Hf3 Hf 0.233 0.000 0.735 1
Hf4 Hf 0.247 0.500 0.241 1
Hf5 Hf 0.480 0.000 0.482 1
Hf6 Hf 0.499 0.500 0.999 1
Hf7 Hf 0.743 0.000 0.235 1
Hf8 Hf 0.759 0.500 0.738 1
Si1 Si 0.122 0.500 0.862 1
Si2 Si 0.123 0.000 0.362 1
Si3 Si 0.366 0.500 0.612 1
Si4 Si 0.372 0.000 0.122 1
Si5 Si 0.614 0.500 0.362 1
Si6 Si 0.620 0.000 0.865 1
Si7 Si 0.875 0.000 0.614 1
Si8 Si 0.875 0.500 0.123 1
Ni1 Ni 0.060 0.500 0.676 1
Ni2 Ni 0.061 0.000 0.182 1
Ni3 Ni 0.307 0.500 0.424 1
Ni4 Ni 0.558 0.500 0.181 1
Pt1 Pt 0.309 0.000 0.928 1
Pt2 Pt 0.557 0.000 0.675 1
Pt3 Pt 0.808 0.000 0.426 1
Pt4 Pt 0.810 0.500 0.930 1
```

[2]
Computed powder diffraction line list of Hf9Re4Ni for copper Kα, from DFT lattice parameters and positions (GGA-PBE).
Lines closer than 0.1° are merged.

Largest 10 diffraction maxima, by angle, 2θ = 5–70°:
| h k l | 2θ/deg | I (rel.) |
| --- | --- | --- |
| 1 0 0 | 11.9 | 22 |
| 1 0 3 | 34.0 | 24 |
| 3 0 1 | 37.9 | 73 |
| 2 1 2 | 38.5 | 100 |
| 2 0 3 | 40.2 | 47 |
| 2 2 0 | 42.2 | 22 |
| 3 2 3 | 63.9 | 25 |
| 3 3 0 | 65.3 | 17 |
| 5 0 2 | 66.8 | 23 |
| 3 0 5 | 67.0 | 27 |

```
data_Hf9Re4Ni
_chemical_formula_sum 'Hf18 Re8 Ni2'
_cell_length_a 8.5739
_cell_length_b 8.5739
_cell_length_c 8.4521
_cell_angle_alpha 90.00
_cell_angle_beta 90.00
_cell_angle_gamma 120.00
_space_group_name_H-M_alt 'P 63/m m c'
_space_group_IT_number 194
_space_group_name_Hall '-P 6c 2c'
loop_
_atom_site_label
_atom_site_type_symbol
_atom_site_fract_x
_atom_site_fract_y
_atom_site_fract_z
_atom_site_occupancy
Hf1 Hf 0.0827 0.5413 0.2500 1
Hf2 Hf 0.1979 0.3958 0.5559 1
Re1 Re 0.0000 0.0000 0.0000 1
Re2 Re 0.1103 0.2206 0.2500 1
Ni1 Ni 0.3333 0.6667 0.7500 1
```

[3]
Computed powder diffraction line list of Hf3NiSb7 for copper Kα, from DFT lattice parameters and positions (GGA-PBE).
Lines closer than 0.1° are merged.

Largest 10 diffraction maxima, by angle, 2θ = 5–70°:
| h k l | 2θ/deg | I (rel.) |
| --- | --- | --- |
| 4 1 0 | 30.5 | 15 |
| 6 0 1 | 31.3 | 17 |
| 3 1 3 | 33.1 | 49 |
| 1 1 4 | 34.0 | 100 |
| 5 0 4 | 35.7 | 24 |
| 6 1 0 | 38.4 | 16 |
| 6 1 1 | 38.9 | 17 |
| 5 1 3 | 39.1 | 35 |
| 5 0 5 | 40.4 | 18 |
| 0 2 0 | 46.0 | 33 |

```
data_Hf3NiSb7
_chemical_formula_sum 'Hf12 Ni4 Sb28'
_cell_length_a 17.486
_cell_length_b 3.947
_cell_length_c 14.510
_cell_angle_alpha 90.00
_cell_angle_beta 90.00
_cell_angle_gamma 90.00
_space_group_name_H-M_alt 'P n m a'
_space_group_IT_number 62
_space_group_name_Hall '-P 2ac 2n'
loop_
_atom_site_label
_atom_site_type_symbol
_atom_site_fract_x
_atom_site_fract_y
_atom_site_fract_z
_atom_site_occupancy
Hf1 Hf 0.107 0.250 0.090 1
Hf2 Hf 0.130 0.250 0.529 1
Hf3 Hf 0.153 0.250 0.810 1
Ni1 Ni 0.063 0.250 0.311 1
Sb1 Sb 0.022 0.750 0.202 1
Sb2 Sb 0.038 0.750 0.424 1
Sb3 Sb 0.071 0.750 0.940 1
Sb4 Sb 0.093 0.750 0.675 1
Sb5 Sb 0.211 0.250 0.315 1
Sb6 Sb 0.228 0.750 0.146 1
Sb7 Sb 0.248 0.750 0.478 1
```

[4]
Computed powder diffraction line list of Hf2ZrNi4Sb4 for copper Kα, from DFT lattice parameters and positions (GGA-PBE).
Lines closer than 0.1° are merged.

Largest 10 diffraction maxima, by angle, 2θ = 5–70°:
| h k l | 2θ/deg | I (rel.) |
| --- | --- | --- |
| 0 0 2 | 14.8 | 18 |
| 1 1 0 | 20.7 | 15 |
| 1 1 2 | 25.5 | 20 |
| 2 0 0 | 29.4 | 44 |
| 0 0 4 | 29.8 | 20 |
| 1 1 4 | 36.5 | 8 |
| 2 2 0 | 42.0 | 52 |
| 2 0 4 | 42.3 | 100 |
| 2 2 4 | 52.3 | 17 |
| 4 0 0 | 60.9 | 17 |

```
data_Hf2ZrNi4Sb4
_chemical_formula_sum 'Hf4 Zr2 Ni8 Sb8'
_cell_length_a 6.081
_cell_length_b 6.081
_cell_length_c 12.006
_cell_angle_alpha 90.00
_cell_angle_beta 90.00
_cell_angle_gamma 90.00
_space_group_name_H-M_alt 'I -4 2 m'
_space_group_IT_number 121
_space_group_name_Hall 'I -4 2'
loop_
_atom_site_label
_atom_site_type_symbol
_atom_site_fract_x
_atom_site_fract_y
_atom_site_fract_z
_atom_site_occupancy
Hf1 Hf 0.000 0.500 0.250 1
Zr1 Zr 0.000 0.000 0.000 1
Ni1 Ni 0.241 0.241 0.870 1
Sb1 Sb 0.000 0.000 0.263 1
Sb2 Sb 0.000 0.500 0.000 1
```

[5]
Computed powder diffraction line list of Hf4Si7Ni4 for copper Kα, from DFT lattice parameters and positions (GGA-PBE).
Lines closer than 0.1° are merged.

Largest 10 diffraction maxima, by angle, 2θ = 5–70°:
| h k l | 2θ/deg | I (rel.) |
| --- | --- | --- |
| 1 1 0 | 9.7 | 30 |
| 3 0 1 | 27.2 | 22 |
| 3 2 1 | 30.6 | 37 |
| 4 1 1 | 33.6 | 27 |
| 5 0 1 | 39.2 | 100 |
| 4 4 0 | 39.6 | 21 |
| 3 1 2 | 41.8 | 48 |
| 6 0 0 | 42.1 | 23 |
| 5 0 3 | 65.8 | 22 |
| 7 3 2 | 66.3 | 26 |

```
data_Hf4Si7Ni4
_chemical_formula_sum 'Hf16 Si28 Ni16'
_cell_length_a 12.877
_cell_length_b 12.877
_cell_length_c 5.101
_cell_angle_alpha 90.00
_cell_angle_beta 90.00
_cell_angle_gamma 90.00
_space_group_name_H-M_alt 'I 4/m m m'
_space_group_IT_number 139
_space_group_name_Hall '-I 4 2'
loop_
_atom_site_label
_atom_site_type_symbol
_atom_site_fract_x
_atom_site_fract_y
_atom_site_fract_z
_atom_site_occupancy
Hf1 Hf 0.000 0.194 0.000 1
Hf2 Hf 0.137 0.137 0.500 1
Si1 Si 0.000 0.000 0.250 1
Si2 Si 0.000 0.296 0.500 1
Si3 Si 0.000 0.409 0.000 1
Si4 Si 0.209 0.209 0.000 1
Ni1 Ni 0.147 0.353 0.250 1
```

[6]
Computed powder diffraction line list of HfSi4Ni3 for copper Kα, from DFT lattice parameters and positions (GGA-PBE).
Lines closer than 0.1° are merged.

Largest 10 diffraction maxima, by angle, 2θ = 5–70°:
| h k l | 2θ/deg | I (rel.) |
| --- | --- | --- |
| 0 0 1 | 14.8 | 51 |
| 1 0 0 | 18.8 | 35 |
| 1 1 0 | 30.4 | 89 |
| 1 1 -1 | 33.0 | 40 |
| 1 1 1 | 34.9 | 38 |
| 0 1 2 | 38.5 | 36 |
| 1 1 -2 | 41.6 | 100 |
| 1 1 2 | 44.7 | 61 |
| 2 1 0 | 45.3 | 37 |
| 0 2 0 | 48.4 | 46 |

```
data_HfSi4Ni3
_chemical_formula_sum 'Hf1 Si4 Ni3'
_cell_length_a 4.757
_cell_length_b 3.760
_cell_length_c 6.007
_cell_angle_alpha 90.00
_cell_angle_beta 96.21
_cell_angle_gamma 90.00
_space_group_name_H-M_alt 'P 1 m 1'
_space_group_IT_number 6
_space_group_name_Hall 'P -2y'
loop_
_atom_site_label
_atom_site_type_symbol
_atom_site_fract_x
_atom_site_fract_y
_atom_site_fract_z
_atom_site_occupancy
Hf1 Hf 0.000 0.000 0.000 1
Si1 Si 0.169 0.500 0.705 1
Si2 Si 0.484 0.000 0.765 1
Si3 Si 0.492 0.000 0.296 1
Si4 Si 0.868 0.500 0.296 1
Ni1 Ni 0.061 0.000 0.487 1
Ni2 Ni 0.491 0.500 0.023 1
Ni3 Ni 0.691 0.500 0.638 1
```

[7]
Computed powder diffraction line list of Hf2SiNi2Sn for copper Kα, from DFT lattice parameters and positions (GGA-PBE).
Lines closer than 0.1° are merged.

Largest 10 diffraction maxima, by angle, 2θ = 5–70°:
| h k l | 2θ/deg | I (rel.) |
| --- | --- | --- |
| 1 0 -3 | 26.0 | 37 |
| 2 0 2 | 30.1 | 46 |
| 0 1 3 | 35.0 | 2 |
| 0 2 0 | 43.0 | 100 |
| 1 2 -3 | 50.9 | 17 |
| 6 0 -2 | 53.4 | 6 |
| 2 2 2 | 53.4 | 6 |
| 4 2 -4 | 62.5 | 16 |
| 5 0 -7 | 68.8 | 3 |
| 1 3 1 | 68.9 | 3 |

```
data_Hf2SiNi2Sn
_chemical_formula_sum 'Hf8 Si4 Ni8 Sn4'
_cell_length_a 10.296
_cell_length_b 4.200
_cell_length_c 10.311
_cell_angle_alpha 90.00
_cell_angle_beta 109.50
_cell_angle_gamma 90.00
_space_group_name_H-M_alt 'P 1 m 1'
_space_group_IT_number 6
_space_group_name_Hall 'P -2y'
loop_
_atom_site_label
_atom_site_type_symbol
_atom_site_fract_x
_atom_site_fract_y
_atom_site_fract_z
_atom_site_occupancy
Hf1 Hf 0.000 0.000 0.000 1
Hf2 Hf 0.118 0.500 0.374 1
Hf3 Hf 0.239 0.000 0.741 1
Hf4 Hf 0.375 0.500 0.137 1
Hf5 Hf 0.502 0.000 0.498 1
Hf6 Hf 0.627 0.500 0.866 1
Hf7 Hf 0.747 0.000 0.260 1
Hf8 Hf 0.867 0.500 0.620 1
Si1 Si 0.247 0.000 0.252 1
Si2 Si 0.623 0.500 0.377 1
Si3 Si 0.750 0.000 0.747 1
Si4 Si 0.995 0.000 0.499 1
Ni1 Ni 0.131 0.500 0.134 1
Ni2 Ni 0.238 0.000 0.489 1
Ni3 Ni 0.371 0.500 0.873 1
Ni4 Ni 0.500 0.000 0.259 1
Ni5 Ni 0.628 0.500 0.620 1
Ni6 Ni 0.749 0.000 0.989 1
Ni7 Ni 0.870 0.500 0.381 1
Ni8 Ni 0.987 0.000 0.740 1
Sn1 Sn 0.122 0.500 0.875 1
Sn2 Sn 0.371 0.500 0.621 1
Sn3 Sn 0.498 0.000 0.999 1
Sn4 Sn 0.870 0.500 0.124 1
```

[8]
Computed powder diffraction line list of HfZr2Si4Ni4 for copper Kα, from DFT lattice parameters and positions (GGA-PBE).
Lines closer than 0.1° are merged.

Largest 10 diffraction maxima, by angle, 2θ = 5–70°:
| h k l | 2θ/deg | I (rel.) |
| --- | --- | --- |
| 0 1 3 | 25.2 | 19 |
| 1 1 2 | 30.5 | 31 |
| 1 0 3 | 31.3 | 31 |
| 1 2 1 | 37.2 | 100 |
| 0 1 5 | 38.1 | 35 |
| 1 1 4 | 39.3 | 80 |
| 0 0 6 | 42.6 | 18 |
| 2 0 0 | 47.0 | 33 |
| 0 3 3 | 47.9 | 33 |
| 2 3 3 | 69.3 | 21 |

```
data_HfZr2Si4Ni4
_chemical_formula_sum 'Hf2 Zr4 Si8 Ni8'
_cell_length_a 3.866
_cell_length_b 6.375
_cell_length_c 12.732
_cell_angle_alpha 90.00
_cell_angle_beta 90.00
_cell_angle_gamma 90.00
_space_group_name_H-M_alt 'I m m m'
_space_group_IT_number 71
_space_group_name_Hall '-I 2 2'
loop_
_atom_site_label
_atom_site_type_symbol
_atom_site_fract_x
_atom_site_fract_y
_atom_site_fract_z
_atom_site_occupancy
Hf1 Hf 0.000 0.000 0.000 1
Zr1 Zr 0.000 0.500 0.126 1
Si1 Si 0.000 0.000 0.214 1
Si2 Si 0.000 0.196 0.500 1
Ni1 Ni 0.000 0.302 0.325 1
```